# 1
Theoretical powder X-ray diffraction pattern
Compound: Sr2CeNiO6
Radiation: CuKα
Structure: a structure optimized by DFT (PBE+U)

Atomic structure:
a b c (Å): 5.7403 5.7403 5.7403
angles (deg): 60.00 60.00 60.00
Fractional coordinates of all 10 atoms:
Sr (0.2500, 0.2500, 0.2500)
Sr (0.7500, 0.7500, 0.7500)
Ce (0.0000, 0.0000, 0.0000)
Ni (0.5000, 0.5000, 0.5000)
O (0.2683, 0.2683, 0.7317)
O (0.2683, 0.7317, 0.2683)
O (0.2683, 0.7317, 0.7317)
O (0.7317, 0.2683, 0.2683)
O (0.7317, 0.2683, 0.7317)
O (0.7317, 0.7317, 0.2683)

The 10 most intense peaks (2θ from 5° to 70°), low angle first:
two_theta  d (Å)  Rel. int.
18.93  4.687  6.8
21.90  4.059  4.3
31.16  2.870  100.0
36.72  2.448  6.3
44.65  2.029  33.3
48.91  1.862  3.9
55.45  1.657  38.8
59.14  1.562  1.8
64.99  1.435  19.7
68.36  1.372  1.7

---

# 2
Theoretical powder X-ray diffraction pattern
Compound: Li5Co2Si2O10
Radiation: CuKα
Structure: a structure optimized by DFT (PBE+U)

Atomic structure:
a b c (Å): 4.9293 5.5125 16.5989
angles (deg): 90.00 106.92 90.00
Fractional coordinates of all 38 atoms:
Li (0.0000, 0.0745, 0.0000)
Li (0.0000, 0.9255, 0.5000)
Li (0.2825, 0.4115, 0.7959)
Li (0.2825, 0.5885, 0.2959)
Li (0.3868, 0.0805, 0.3956)
Li (0.3868, 0.9195, 0.8956)
Li (0.6973, 0.4170, 0.2082)
Li (0.6973, 0.5830, 0.7082)
Li (0.8000, 0.0890, 0.8071)
Li (0.8000, 0.9110, 0.3071)
Co (0.4937, 0.4216, 0.0039)
Co (0.4937, 0.5784, 0.5039)
Co (0.5959, 0.0737, 0.6061)
Co (0.5959, 0.9263, 0.1061)
Si (0.2108, 0.0867, 0.2072)
Si (0.2108, 0.9133, 0.7072)
Si (0.8982, 0.4150, 0.3987)
Si (0.8982, 0.5850, 0.8987)
O (0.1067, 0.4249, 0.9804)
O (0.1067, 0.5751, 0.4804)
O (0.2365, 0.0261, 0.6150)
O (0.2365, 0.9739, 0.1150)
O (0.3165, 0.3637, 0.2146)
O (0.3165, 0.6363, 0.7146)
O (0.3805, 0.0749, 0.7883)
O (0.3805, 0.9251, 0.2883)
O (0.5702, 0.4300, 0.4126)
O (0.5702, 0.5700, 0.9126)
O (0.5976, 0.1024, 0.0069)
O (0.5976, 0.8976, 0.5069)
O (0.6531, 0.4103, 0.5979)
O (0.6531, 0.5897, 0.0979)
O (0.8602, 0.0682, 0.1967)
O (0.8602, 0.9318, 0.6967)
O (0.9030, 0.4380, 0.8151)
O (0.9030, 0.5620, 0.3151)
O (0.9959, 0.1321, 0.4037)
O (0.9959, 0.8679, 0.9037)

The 10 most intense peaks (2θ from 5° to 70°), low angle first:
two_theta  d (Å)  Rel. int.
11.14  7.940  43.6
18.85  4.708  49.4
19.60  4.528  100.0
24.60  3.618  39.5
24.76  3.596  40.0
26.73  3.335  27.8
32.52  2.753  84.6
36.46  2.465  45.6
37.36  2.407  30.7
58.02  1.590  43.7

---

# 3
Theoretical powder X-ray diffraction pattern
Compound: SrMn3P3O12
Radiation: CuKα
Structure: a structure optimized by DFT (PBE+U)

Atomic structure:
a b c (Å): 9.3795 9.3795 9.3795
angles (deg): 112.37 82.83 138.09
Fractional coordinates of all 38 atoms:
Sr (0.3570, 0.1070, 0.2500)
Sr (0.6430, 0.8930, 0.7500)
Mn (0.0000, 0.5000, 0.5000)
Mn (0.1180, 0.0000, 0.6180)
Mn (0.1180, 0.5000, 0.1180)
Mn (0.5000, 0.5000, 0.0000)
Mn (0.8820, 0.0000, 0.3820)
Mn (0.8820, 0.5000, 0.8820)
P (0.1570, 0.4070, 0.7500)
P (0.3235, 0.0000, 0.8235)
P (0.3235, 0.5000, 0.3235)
P (0.6765, 0.0000, 0.1765)
P (0.6765, 0.5000, 0.6765)
P (0.8430, 0.5930, 0.2500)
O (0.0105, 0.1432, 0.6327)
O (0.0105, 0.3778, 0.8673)
O (0.1981, 0.5594, 0.3604)
O (0.1981, 0.8377, 0.6388)
O (0.1998, 0.5391, 0.6607)
O (0.2070, 0.2780, 0.3387)
O (0.2070, 0.8683, 0.9289)
O (0.3011, 0.1623, 0.8604)
O (0.3011, 0.4406, 0.1388)
O (0.3784, 0.5391, 0.8393)
O (0.4393, 0.2780, 0.5711)
O (0.4393, 0.8683, 0.1613)
O (0.5607, 0.1317, 0.8387)
O (0.5607, 0.7220, 0.4289)
O (0.6216, 0.4609, 0.1607)
O (0.6989, 0.5594, 0.8612)
O (0.6989, 0.8377, 0.1396)
O (0.7930, 0.1317, 0.0711)
O (0.7930, 0.7220, 0.6613)
O (0.8002, 0.4609, 0.3393)
O (0.8019, 0.1623, 0.3612)
O (0.8019, 0.4406, 0.6396)
O (0.9895, 0.6222, 0.1327)
O (0.9895, 0.8568, 0.3673)

The 10 most intense peaks (2θ from 5° to 70°), low angle first:
two_theta  d (Å)  Rel. int.
20.17  4.402  50.5
21.20  4.192  32.5
22.49  3.954  23.1
28.67  3.114  29.3
30.65  2.917  100.0
31.70  2.822  65.2
34.36  2.610  33.4
51.41  1.777  26.1
52.00  1.759  19.8
55.37  1.659  21.2